LaAl3Ag3: computed PXRD pattern (Cu Kα (λ = 1.5418 Å)), based on a GGA-PBE-relaxed structure.
Intensities are scaled so that the largest is 100.

The 12 most intense peaks (2θ = 10–90°), most intense first:
hkl 1 1 3, 2θ 27.4, rel. 100; hkl 1 1 6, 2θ 40.7, rel. 81; hkl 0 0 3, 2θ 16.9, rel. 67; hkl 3 0 0, 2θ 37.6, rel. 65; hkl 3 -2 2, 2θ 35.0, rel. 39; hkl 0 2 1, 2θ 25.5, rel. 32; hkl 3 -1 4, 2θ 40.4, rel. 31; hkl 3 -1 1, 2θ 33.6, rel. 29; hkl 3 -2 5, 2θ 44.1, rel. 26; hkl 0 3 3, 2θ 41.5, rel. 19; hkl 2 3 2, 2θ 57.2, rel. 14; hkl 5 -1 3, 2θ 61.9, rel. 14

Crystal structure
```
data_LaAl3Ag3
_chemical_formula_sum 'La6 Al18 Ag18'
_symmetry_space_group_name_H-M 'R -3'
_symmetry_Int_Tables_number 148
_symmetry_space_group_name_Hall '-R 3'
_cell_length_a 8.2787
_cell_length_b 8.2787
_cell_length_c 15.7679
_cell_angle_alpha 90.00
_cell_angle_beta 90.00
_cell_angle_gamma 120.00
loop_
_atom_site_label
_atom_site_type_symbol
_atom_site_fract_x
_atom_site_fract_y
_atom_site_fract_z
La1 La 0.0000 0.0000 0.1763
Al1 Al 0.0033 0.3494 0.2931
Ag1 Ag 0.9998 0.2644 0.4461
```